[1]
Sr5Ca5P6Cl2O24: theoretical X-ray powder pattern (Cu Kα, 1.54184 Å), based on a structure optimized by DFT (PBE).
Kinematic intensities with the Lorentz-polarization factor, no thermal factor.

Structure:
```
data_Sr5Ca5P6Cl2O24
_chemical_formula_sum 'Sr5 Ca5 P6 Cl2 O24'
_cell_length_a 9.8696
_cell_length_b 7.0329
_cell_length_c 9.8822
_cell_angle_alpha 90.00
_cell_angle_beta 119.93
_cell_angle_gamma 90.00
_space_group_name_H-M_alt 'P 1'
_space_group_IT_number 1
loop_
_space_group_symop_operation_xyz
'x,y,z'
loop_
_atom_site_label
_atom_site_fract_x
_atom_site_fract_y
_atom_site_fract_z
Sr1 0.0000 0.0000 0.0000
Sr2 0.0003 0.5000 0.2536
Sr3 0.2510 0.5000 0.9991
Sr4 0.2542 0.0000 0.5055
Sr5 0.5061 0.5000 0.5036
Ca1 0.5194 0.0000 0.2623
Ca2 0.5855 0.2485 0.9191
Ca3 0.5855 0.7515 0.9191
Ca4 0.9194 0.2514 0.5856
Ca5 0.9194 0.7486 0.5856
P1 0.2182 0.0000 0.8389
P2 0.2871 0.5000 0.6661
P3 0.6307 0.5000 0.2191
P4 0.6655 0.0000 0.6292
P5 0.8388 0.5000 0.8730
P6 0.8714 0.0000 0.2852
Cl1 0.2554 0.2467 0.2521
Cl2 0.2554 0.7533 0.2521
O1 0.1082 0.5000 0.6077
O2 0.1184 0.0000 0.6563
O3 0.1680 0.1782 0.8953
O4 0.1680 0.8218 0.8953
O5 0.3363 0.3223 0.6081
O6 0.3363 0.6777 0.6081
O7 0.3868 0.5000 0.8482
O8 0.3970 0.0000 0.8971
O9 0.5256 0.3193 0.1725
O10 0.5256 0.6807 0.1725
O11 0.6073 0.0000 0.7498
O12 0.6074 0.1765 0.5206
O13 0.6074 0.8235 0.5206
O14 0.6565 0.5000 0.7904
O15 0.7122 0.5000 0.1178
O16 0.7532 0.0000 0.1062
O17 0.7529 0.5000 0.3975
O18 0.7847 0.0000 0.3815
O19 0.8478 0.0000 0.7126
O20 0.8968 0.3224 0.9802
O21 0.8969 0.5000 0.7524
O22 0.8968 0.6776 0.9802
O23 0.9785 0.1778 0.3367
O24 0.9785 0.8222 0.3367
```

Top 10 peaks for 15° ≤ 2θ ≤ 90°, low angle first:
25.3 deg, I = 21
30.4 deg, I = 100
31.2 deg, I = 49
31.4 deg, I = 39
37.8 deg, I = 12
37.9 deg, I = 12
44.8 deg, I = 24
47.9 deg, I = 29
48.1 deg, I = 21
49.9 deg, I = 12



[2]
CdBi2O4: theoretical X-ray powder pattern (Cu Kα, 1.54184 Å), based on a structure optimized by DFT (PBE).
Kinematic intensities with the Lorentz-polarization factor, no thermal factor.

Structure:
```
data_CdBi2O4
_chemical_formula_sum 'Cd8 Bi16 O32'
_cell_length_a 11.4505
_cell_length_b 11.4505
_cell_length_c 11.4505
_cell_angle_alpha 99.93
_cell_angle_beta 99.93
_cell_angle_gamma 130.92
_space_group_name_H-M_alt 'P 1'
_space_group_IT_number 1
loop_
_space_group_symop_operation_xyz
'x,y,z'
loop_
_atom_site_label
_atom_site_fract_x
_atom_site_fract_y
_atom_site_fract_z
Cd1 0.0000 0.1093 0.1093
Cd2 0.0000 0.8907 0.8907
Cd3 0.1093 0.0000 0.6093
Cd4 0.1093 0.5000 0.1093
Cd5 0.5000 0.1093 0.6093
Cd6 0.5000 0.8907 0.3907
Cd7 0.8907 0.0000 0.3907
Cd8 0.8907 0.5000 0.8907
Bi1 0.1148 0.7237 0.3910
Bi2 0.1673 0.2763 0.8910
Bi3 0.2170 0.4670 0.4341
Bi4 0.2170 0.7830 0.7500
Bi5 0.2763 0.1673 0.3910
Bi6 0.2763 0.8852 0.1090
Bi7 0.4670 0.2170 0.9341
Bi8 0.4670 0.5330 0.2500
Bi9 0.5330 0.4670 0.7500
Bi10 0.5330 0.7830 0.0659
Bi11 0.7237 0.1148 0.8910
Bi12 0.7237 0.8327 0.6090
Bi13 0.7830 0.2170 0.2500
Bi14 0.7830 0.5330 0.5659
Bi15 0.8327 0.7237 0.1090
Bi16 0.8852 0.2763 0.6090
O1 0.0180 0.7680 0.0360
O2 0.0180 0.9820 0.2500
O3 0.0633 0.4626 0.2930
O4 0.0633 0.7703 0.6008
O5 0.1867 0.2076 0.5209
O6 0.1867 0.6657 0.9791
O7 0.2076 0.1867 0.0209
O8 0.2297 0.3304 0.2930
O9 0.2297 0.9367 0.8992
O10 0.2320 0.7680 0.2500
O11 0.2320 0.9820 0.4640
O12 0.3304 0.2297 0.7930
O13 0.3304 0.5374 0.1008
O14 0.3343 0.8133 0.5209
O15 0.4626 0.0633 0.7930
O16 0.4626 0.6696 0.3992
O17 0.5374 0.3304 0.6008
O18 0.5374 0.9367 0.2070
O19 0.6657 0.1867 0.4791
O20 0.6696 0.4626 0.8992
O21 0.6696 0.7703 0.2070
O22 0.7680 0.0180 0.5360
O23 0.7680 0.2320 0.7500
O24 0.7703 0.0633 0.1008
O25 0.7703 0.6696 0.7070
O26 0.7924 0.8133 0.9791
O27 0.8133 0.3343 0.0209
O28 0.8133 0.7924 0.4791
O29 0.9367 0.2297 0.3992
O30 0.9367 0.5374 0.7070
O31 0.9820 0.0180 0.7500
O32 0.9820 0.2320 0.9640
```

Top 10 peaks for 15° ≤ 2θ ≤ 90°, low angle first:
16.4 deg, I = 31
23.7 deg, I = 65
26.7 deg, I = 88
28.8 deg, I = 59
30.7 deg, I = 100
31.8 deg, I = 84
31.9 deg, I = 58
33.6 deg, I = 36
50.9 deg, I = 46
52.1 deg, I = 52



[3]
Tl2Ni3S2: theoretical X-ray powder pattern (Cu Kα, 1.54184 Å), based on a structure optimized by DFT (PBE).
Kinematic intensities with the Lorentz-polarization factor, no thermal factor.

Structure:
```
data_Tl2Ni3S2
_chemical_formula_sum 'Tl2 Ni3 S2'
_cell_length_a 5.6214
_cell_length_b 5.6214
_cell_length_c 5.6214
_cell_angle_alpha 59.02
_cell_angle_beta 59.02
_cell_angle_gamma 59.02
_space_group_name_H-M_alt 'P 1'
_space_group_IT_number 1
loop_
_space_group_symop_operation_xyz
'x,y,z'
loop_
_atom_site_label
_atom_site_fract_x
_atom_site_fract_y
_atom_site_fract_z
Tl1 0.0000 0.0000 0.0000
Tl2 0.5000 0.5000 0.5000
Ni1 0.0000 0.5000 0.5000
Ni2 0.5000 0.0000 0.5000
Ni3 0.5000 0.5000 0.0000
S1 0.2276 0.2276 0.2276
S2 0.7724 0.7724 0.7724
```

Top 10 peaks for 15° ≤ 2θ ≤ 90°, low angle first:
22.5 deg, I = 100
31.8 deg, I = 93
32.3 deg, I = 94
39.0 deg, I = 36
39.8 deg, I = 96
46.0 deg, I = 93
51.5 deg, I = 28
57.4 deg, I = 36
66.6 deg, I = 28
67.7 deg, I = 30



[4]
OsN2: theoretical X-ray powder pattern (Cu Kα, 1.54184 Å), based on a structure optimized by DFT (PBE).
Kinematic intensities with the Lorentz-polarization factor, no thermal factor.

Structure:
```
data_OsN2
_chemical_formula_sum 'Os4 N8'
_cell_length_a 4.8747
_cell_length_b 4.8747
_cell_length_c 4.8747
_cell_angle_alpha 90.00
_cell_angle_beta 90.00
_cell_angle_gamma 90.00
_space_group_name_H-M_alt 'P 1'
_space_group_IT_number 1
loop_
_space_group_symop_operation_xyz
'x,y,z'
loop_
_atom_site_label
_atom_site_fract_x
_atom_site_fract_y
_atom_site_fract_z
Os1 0.0000 0.0000 0.0000
Os2 0.0000 0.5000 0.5000
Os3 0.5000 0.0000 0.5000
Os4 0.5000 0.5000 0.0000
N1 0.2500 0.2500 0.2500
N2 0.2500 0.2500 0.7500
N3 0.2500 0.7500 0.2500
N4 0.2500 0.7500 0.7500
N5 0.7500 0.2500 0.2500
N6 0.7500 0.2500 0.7500
N7 0.7500 0.7500 0.2500
N8 0.7500 0.7500 0.7500
```

Top 7 peaks for 15° ≤ 2θ ≤ 90°, low angle first:
31.8 deg, I = 100
36.9 deg, I = 37
53.1 deg, I = 45
63.3 deg, I = 43
66.4 deg, I = 10
78.5 deg, I = 7
87.2 deg, I = 18



[5]
LaBPt3: theoretical X-ray powder pattern (Cu Kα, 1.54184 Å), based on a structure optimized by DFT (PBE).
Kinematic intensities with the Lorentz-polarization factor, no thermal factor.

Structure:
```
data_LaBPt3
_chemical_formula_sum 'La1 B1 Pt3'
_cell_length_a 4.4309
_cell_length_b 4.4309
_cell_length_c 4.4309
_cell_angle_alpha 90.00
_cell_angle_beta 90.00
_cell_angle_gamma 90.00
_space_group_name_H-M_alt 'P 1'
_space_group_IT_number 1
loop_
_space_group_symop_operation_xyz
'x,y,z'
loop_
_atom_site_label
_atom_site_fract_x
_atom_site_fract_y
_atom_site_fract_z
La1 0.0000 0.0000 0.0000
B1 0.5000 0.5000 0.5000
Pt1 0.0000 0.5000 0.5000
Pt2 0.5000 0.0000 0.5000
Pt3 0.5000 0.5000 0.0000
```

Top 10 peaks for 15° ≤ 2θ ≤ 90°, low angle first:
20.0 deg, I = 2
28.5 deg, I = 1
35.1 deg, I = 100
40.7 deg, I = 52
45.8 deg, I = 1
59.0 deg, I = 36
62.9 deg, I = 1
70.5 deg, I = 40
74.1 deg, I = 12
88.2 deg, I = 6



[6]
Eu2Si4Pd3Au: theoretical X-ray powder pattern (Cu Kα, 1.54184 Å), based on a structure optimized by DFT (PBE).
Kinematic intensities with the Lorentz-polarization factor, no thermal factor.

Structure:
```
data_Eu2Si4Pd3Au
_chemical_formula_sum 'Eu2 Si4 Pd3 Au1'
_cell_length_a 4.2821
_cell_length_b 4.2821
_cell_length_c 9.9462
_cell_angle_alpha 90.00
_cell_angle_beta 90.00
_cell_angle_gamma 90.00
_space_group_name_H-M_alt 'P 1'
_space_group_IT_number 1
loop_
_space_group_symop_operation_xyz
'x,y,z'
loop_
_atom_site_label
_atom_site_fract_x
_atom_site_fract_y
_atom_site_fract_z
Eu1 0.0000 0.5000 0.2481
Eu2 0.5000 0.0000 0.7519
Si1 0.0000 0.5000 0.6360
Si2 0.0000 0.5000 0.8732
Si3 0.5000 0.0000 0.1268
Si4 0.5000 0.0000 0.3640
Pd1 0.0000 0.0000 0.0000
Pd2 0.5000 0.5000 0.0000
Pd3 0.5000 0.5000 0.5000
Au1 0.0000 0.0000 0.5000
```

Top 10 peaks for 15° ≤ 2θ ≤ 90°, low angle first:
22.6 deg, I = 23
34.2 deg, I = 22
34.7 deg, I = 100
36.1 deg, I = 16
42.2 deg, I = 37
55.4 deg, I = 12
56.7 deg, I = 18
61.2 deg, I = 12
64.0 deg, I = 15
72.3 deg, I = 23



[7]
LiGd2In: theoretical X-ray powder pattern (Cu Kα, 1.54184 Å), based on a structure optimized by DFT (PBE).
Kinematic intensities with the Lorentz-polarization factor, no thermal factor.

Structure:
```
data_LiGd2In
_chemical_formula_sum 'Li4 Gd8 In4'
_cell_length_a 7.4989
_cell_length_b 7.4989
_cell_length_c 7.4989
_cell_angle_alpha 90.00
_cell_angle_beta 90.00
_cell_angle_gamma 90.00
_space_group_name_H-M_alt 'P 1'
_space_group_IT_number 1
loop_
_space_group_symop_operation_xyz
'x,y,z'
loop_
_atom_site_label
_atom_site_fract_x
_atom_site_fract_y
_atom_site_fract_z
Li1 0.0000 0.0000 0.0000
Li2 0.0000 0.5000 0.5000
Li3 0.5000 0.0000 0.5000
Li4 0.5000 0.5000 0.0000
Gd1 0.2500 0.2500 0.2500
Gd2 0.2500 0.2500 0.7500
Gd3 0.2500 0.7500 0.2500
Gd4 0.2500 0.7500 0.7500
Gd5 0.7500 0.2500 0.2500
Gd6 0.7500 0.2500 0.7500
Gd7 0.7500 0.7500 0.2500
Gd8 0.7500 0.7500 0.7500
In1 0.0000 0.0000 0.5000
In2 0.0000 0.5000 0.0000
In3 0.5000 0.0000 0.0000
In4 0.5000 0.5000 0.5000
```

Top 10 peaks for 15° ≤ 2θ ≤ 90°, low angle first:
20.5 deg, I = 16
23.7 deg, I = 23
33.8 deg, I = 100
39.9 deg, I = 8
41.7 deg, I = 7
48.6 deg, I = 18
54.7 deg, I = 10
60.5 deg, I = 37
71.1 deg, I = 11
81.1 deg, I = 16